1.
Simulated PXRD pattern of LiMnSiO4 for Cu Ka, from a crystal structure in the Materials Project, relaxed with PBE+U.
Lines closer than 0.1° are merged.

Structure:
Cell lengths 9.0423, 6.4077, 4.9173 Å; angles 90.00, 90.00, 90.00 degrees
Atoms (fractional coordinates):
Li 0.1630 0.2500 0.0378
Li 0.3370 0.7500 0.5378
Li 0.6630 0.2500 0.4622
Li 0.8370 0.7500 0.9622
Mn 0.0000 0.0000 0.5000
Mn 0.0000 0.5000 0.5000
Mn 0.5000 0.0000 0.0000
Mn 0.5000 0.5000 0.0000
Si 0.1793 0.7500 0.0353
Si 0.3207 0.2500 0.5353
Si 0.6793 0.7500 0.4647
Si 0.8207 0.2500 0.9647
O 0.1189 0.5380 0.1854
O 0.1189 0.9620 0.1854
O 0.1317 0.7500 0.7138
O 0.1362 0.2500 0.5989
O 0.3638 0.7500 0.0989
O 0.3683 0.2500 0.2138
O 0.3811 0.0380 0.6854
O 0.3811 0.4620 0.6854
O 0.6189 0.5380 0.3146
O 0.6189 0.9620 0.3146
O 0.6317 0.7500 0.7862
O 0.6362 0.2500 0.9011
O 0.8638 0.7500 0.4011
O 0.8683 0.2500 0.2862
O 0.8811 0.0380 0.8146
O 0.8811 0.4620 0.8146

Main lines, low angle first (5° ≤ 2θ ≤ 70°):
| 2θ (°) | I (rel.) |
| --- | --- |
| 20.56 | 63 |
| 24.86 | 42 |
| 34.30 | 60 |
| 34.89 | 100 |
| 39.02 | 25 |
| 50.99 | 28 |
| 61.84 | 31 |
| 64.72 | 28 |

---

2.
Simulated PXRD pattern of Mg6FeCoO8 for Cu Ka, from a crystal structure in the Materials Project, relaxed with PBE+U.
Lines closer than 0.1° are merged.

Structure:
Cell lengths 4.2739, 4.2739, 8.5432 Å; angles 90.00, 90.00, 90.00 degrees
Atoms (fractional coordinates):
Mg 0.0000 0.0000 0.0000
Mg 0.0000 0.0000 0.5000
Mg 0.0000 0.5000 0.2431
Mg 0.0000 0.5000 0.7569
Mg 0.5000 0.0000 0.2431
Mg 0.5000 0.0000 0.7569
Fe 0.5000 0.5000 0.5000
Co 0.5000 0.5000 0.0000
O 0.0000 0.0000 0.2511
O 0.0000 0.0000 0.7489
O 0.0000 0.5000 0.0000
O 0.0000 0.5000 0.5000
O 0.5000 0.0000 0.0000
O 0.5000 0.0000 0.5000
O 0.5000 0.5000 0.2602
O 0.5000 0.5000 0.7398

Main lines, low angle first (5° ≤ 2θ ≤ 70°):
| 2θ (°) | I (rel.) |
| --- | --- |
| 20.79 | 20 |
| 29.56 | 17 |
| 36.42 | 26 |
| 42.30 | 100 |
| 47.58 | 8 |
| 52.45 | 6 |
| 61.37 | 56 |
| 65.54 | 4 |

---

3.
Simulated PXRD pattern of Zn2Cr2O5 for Cu Ka, from a crystal structure in the Materials Project, relaxed with PBE+U.
Lines closer than 0.1° are merged.

Structure:
Cell lengths 5.3453, 10.2554, 3.7603 Å; angles 90.00, 90.00, 90.00 degrees
Atoms (fractional coordinates):
Zn 0.2197 0.0988 0.0000
Zn 0.2803 0.5988 0.0000
Zn 0.7197 0.4012 0.0000
Zn 0.7803 0.9012 0.0000
Cr 0.2415 0.8647 0.5000
Cr 0.2585 0.3647 0.5000
Cr 0.7415 0.6353 0.5000
Cr 0.7585 0.1353 0.5000
O 0.0000 0.5000 0.5000
O 0.1347 0.1861 0.5000
O 0.1866 0.9012 0.0000
O 0.3134 0.4012 0.0000
O 0.3653 0.6861 0.5000
O 0.5000 0.0000 0.5000
O 0.6347 0.3139 0.5000
O 0.6866 0.5988 0.0000
O 0.8134 0.0988 0.0000
O 0.8653 0.8139 0.5000

Main lines, low angle first (5° ≤ 2θ ≤ 70°):
| 2θ (°) | I (rel.) |
| --- | --- |
| 29.46 | 12 |
| 33.53 | 44 |
| 33.99 | 100 |
| 35.00 | 32 |
| 48.41 | 25 |
| 49.25 | 26 |
| 60.22 | 37 |
| 62.13 | 13 |

---

4.
Simulated PXRD pattern of Cr2Fe3CuP6O24 for Cu Ka, from a crystal structure in the Materials Project, relaxed with PBE+U.
Lines closer than 0.1° are merged.

Structure:
Cell lengths 8.3885, 8.3885, 8.3885 Å; angles 61.84, 61.84, 61.84 degrees
Atoms (fractional coordinates):
Cr 0.0000 0.0000 0.0000
Cr 0.4997 0.4997 0.4997
Fe 0.3534 0.3534 0.3534
Fe 0.6457 0.6457 0.6457
Fe 0.8540 0.8540 0.8540
Cu 0.1451 0.1451 0.1451
P 0.0486 0.7505 0.4509
P 0.2492 0.5458 0.9507
P 0.4509 0.0486 0.7505
P 0.5458 0.9507 0.2492
P 0.7505 0.4509 0.0486
P 0.9507 0.2492 0.5458
O 0.0054 0.8248 0.6054
O 0.0585 0.9046 0.2482
O 0.0942 0.7498 0.9389
O 0.1053 0.3244 0.5009
O 0.1798 0.3919 0.9822
O 0.2482 0.0586 0.9046
O 0.2519 0.5953 0.4357
O 0.3244 0.5009 0.1053
O 0.3919 0.9822 0.1798
O 0.4037 0.5661 0.7458
O 0.4357 0.2519 0.5953
O 0.4944 0.8940 0.6752
O 0.5009 0.1053 0.3244
O 0.5661 0.7458 0.4037
O 0.5953 0.4357 0.2519
O 0.6054 0.0054 0.8248
O 0.6752 0.4944 0.8940
O 0.7458 0.4037 0.5661
O 0.7498 0.9389 0.0942
O 0.8248 0.6054 0.0054
O 0.8940 0.6752 0.4944
O 0.9046 0.2482 0.0585
O 0.9389 0.0942 0.7498
O 0.9822 0.1798 0.3919

Main lines, low angle first (5° ≤ 2θ ≤ 70°):
| 2θ (°) | I (rel.) |
| --- | --- |
| 20.61 | 88 |
| 24.50 | 100 |
| 33.72 | 73 |
| 36.09 | 44 |
| 48.29 | 27 |
| 50.22 | 29 |
| 56.48 | 24 |
| 63.39 | 24 |

---

5.
Simulated PXRD pattern of Li9Mn2Co5O16 for Cu Ka, from a crystal structure in the Materials Project, relaxed with PBE+U.
Lines closer than 0.1° are merged.

Structure:
Cell lengths 3.0185, 6.4299, 15.4882 Å; angles 88.87, 86.95, 76.67 degrees
Atoms (fractional coordinates):
Li 0.0000 0.0000 0.0000
Li 0.0519 0.8846 0.1870
Li 0.1878 0.6269 0.5623
Li 0.3183 0.3717 0.9401
Li 0.4386 0.1216 0.3116
Li 0.5614 0.8784 0.6884
Li 0.6817 0.6283 0.0599
Li 0.8122 0.3731 0.4377
Li 0.9481 0.1154 0.8130
Mn 0.2453 0.5015 0.7516
Mn 0.7547 0.4985 0.2484
Co 0.1250 0.7500 0.3764
Co 0.3725 0.2399 0.1186
Co 0.5000 0.0000 0.5000
Co 0.6275 0.7601 0.8814
Co 0.8750 0.2500 0.6236
O 0.0557 0.9536 0.5897
O 0.0758 0.7981 0.7854
O 0.1817 0.6935 0.9609
O 0.2056 0.5385 0.1558
O 0.3116 0.4518 0.3425
O 0.3666 0.2940 0.5338
O 0.3805 0.2029 0.7153
O 0.4797 0.0337 0.9013
O 0.5203 0.9663 0.0987
O 0.6195 0.7971 0.2847
O 0.6334 0.7060 0.4662
O 0.6884 0.5482 0.6575
O 0.7944 0.4615 0.8442
O 0.8183 0.3065 0.0391
O 0.9242 0.2019 0.2146
O 0.9443 0.0464 0.4103

Main lines, low angle first (5° ≤ 2θ ≤ 70°):
| 2θ (°) | I (rel.) |
| --- | --- |
| 5.71 | 19 |
| 18.31 | 100 |
| 34.41 | 19 |
| 35.97 | 13 |
| 36.82 | 11 |
| 41.35 | 33 |
| 43.70 | 28 |
| 44.93 | 25 |

---

6.
Simulated PXRD pattern of Ba2VP2O11 for Cu Ka, from a crystal structure in the Materials Project, relaxed with PBE+U.
Lines closer than 0.1° are merged.

Structure:
Cell lengths 5.1719, 8.9257, 10.5985 Å; angles 90.00, 91.97, 90.00 degrees
Atoms (fractional coordinates):
Ba 0.0007 0.0000 0.1202
Ba 0.0254 0.8594 0.5484
Ba 0.9746 0.3594 0.4516
Ba 0.9993 0.5000 0.8798
V 0.4447 0.8440 0.8283
V 0.5553 0.3440 0.1717
P 0.4572 0.1998 0.9108
P 0.4999 0.0639 0.3557
P 0.5001 0.5639 0.6443
P 0.5428 0.6998 0.0892
O 0.0639 0.1563 0.6634
O 0.1308 0.8057 0.7998
O 0.2066 0.5526 0.6194
O 0.2515 0.7216 0.0776
O 0.3273 0.2877 0.0227
O 0.3291 0.2689 0.7885
O 0.3514 0.9138 0.3534
O 0.3722 0.1619 0.4554
O 0.3803 0.0317 0.9276
O 0.4456 0.4204 0.3014
O 0.4562 0.1325 0.2179
O 0.5438 0.6325 0.7821
O 0.5544 0.9204 0.6986
O 0.6197 0.5317 0.0724
O 0.6278 0.6619 0.5446
O 0.6486 0.4138 0.6466
O 0.6709 0.7689 0.2115
O 0.6727 0.7877 0.9773
O 0.7485 0.2216 0.9224
O 0.7934 0.0526 0.3806
O 0.8692 0.3057 0.2002
O 0.9361 0.6563 0.3366

Main lines, low angle first (5° ≤ 2θ ≤ 70°):
| 2θ (°) | I (rel.) |
| --- | --- |
| 12.97 | 43 |
| 25.68 | 69 |
| 26.44 | 100 |
| 27.53 | 50 |
| 27.90 | 31 |
| 31.23 | 34 |
| 34.72 | 32 |
| 39.59 | 40 |

---

7.
Simulated PXRD pattern of CsLaMo2O8 for Cu Ka, from a crystal structure in the Materials Project, relaxed with PBE+U.
Lines closer than 0.1° are merged.

Structure:
Cell lengths 7.8311, 7.8311, 7.9952 Å; angles 118.10, 118.10, 89.14 degrees
Atoms (fractional coordinates):
Cs 0.1981 0.8019 0.7500
Cs 0.8019 0.1981 0.2500
La 0.2297 0.7703 0.2500
La 0.7703 0.2297 0.7500
Mo 0.3080 0.3094 0.7656
Mo 0.3094 0.3080 0.2656
Mo 0.6906 0.6920 0.7344
Mo 0.6920 0.6906 0.2344
O 0.0615 0.2113 0.6971
O 0.0796 0.3841 0.1351
O 0.2113 0.0615 0.1971
O 0.2426 0.3816 0.5685
O 0.3711 0.5790 0.0261
O 0.3816 0.2426 0.0685
O 0.3841 0.0796 0.6351
O 0.4210 0.6289 0.4739
O 0.5790 0.3711 0.5261
O 0.6159 0.9204 0.3649
O 0.6184 0.7574 0.9315
O 0.6289 0.4210 0.9739
O 0.7574 0.6184 0.4315
O 0.7887 0.9385 0.8029
O 0.9204 0.6159 0.8649
O 0.9385 0.7887 0.3029

Main lines, low angle first (5° ≤ 2θ ≤ 70°):
| 2θ (°) | I (rel.) |
| --- | --- |
| 26.56 | 26 |
| 26.76 | 100 |
| 27.64 | 76 |
| 29.79 | 37 |
| 44.73 | 17 |
| 45.56 | 19 |
| 48.08 | 14 |
| 52.08 | 16 |

---

8.
Simulated PXRD pattern of Na10Mn2O9 for Cu Ka, from a crystal structure in the Materials Project, relaxed with PBE+U.
Lines closer than 0.1° are merged.

Structure:
Cell lengths 6.2246, 6.5270, 9.4989 Å; angles 89.37, 89.78, 61.56 degrees
Atoms (fractional coordinates):
Na 0.0000 0.0000 0.0000
Na 0.0008 0.9422 0.5517
Na 0.3236 0.7085 0.2303
Na 0.3340 0.3577 0.0568
Na 0.3641 0.5406 0.7767
Na 0.3690 0.3245 0.5132
Na 0.4305 0.9571 0.8776
Na 0.6146 0.7609 0.5456
Na 0.7444 0.5913 0.0492
Na 0.8116 0.3605 0.3667
Mn 0.6824 0.9946 0.2462
Mn 0.9971 0.3426 0.7128
O 0.0178 0.5894 0.6358
O 0.0571 0.3039 0.8998
O 0.2637 0.0732 0.6508
O 0.3606 0.6766 0.9857
O 0.4726 0.3006 0.2907
O 0.6587 0.7369 0.3011
O 0.6662 0.9762 0.0571
O 0.7165 0.3762 0.6221
O 0.9593 0.9865 0.3071

Main lines, low angle first (5° ≤ 2θ ≤ 70°):
| 2θ (°) | I (rel.) |
| --- | --- |
| 18.14 | 27 |
| 18.69 | 100 |
| 18.79 | 26 |
| 32.45 | 18 |
| 33.19 | 25 |
| 34.08 | 19 |
| 48.11 | 18 |
| 50.01 | 23 |

---

9.
Simulated PXRD pattern of Mo2Cl8O for Cu Ka, from a crystal structure in the Materials Project, relaxed with PBE+U.
Lines closer than 0.1° are merged.

Structure:
Cell lengths 10.3814, 6.6667, 18.4658 Å; angles 90.00, 100.20, 90.00 degrees
Atoms (fractional coordinates):
Mo 0.0553 0.0385 0.1638
Mo 0.0553 0.9615 0.6638
Mo 0.3916 0.1804 0.6272
Mo 0.3916 0.8196 0.1272
Mo 0.6084 0.1804 0.8728
Mo 0.6084 0.8196 0.3728
Mo 0.9447 0.0385 0.3362
Mo 0.9447 0.9615 0.8362
Cl 0.0000 0.2280 0.7500
Cl 0.0000 0.7720 0.2500
Cl 0.0476 0.3424 0.1037
Cl 0.0476 0.6576 0.6037
Cl 0.0977 0.1052 0.9273
Cl 0.0977 0.8948 0.4273
Cl 0.1531 0.1898 0.2824
Cl 0.1531 0.8102 0.7824
Cl 0.2886 0.3163 0.5183
Cl 0.2886 0.6837 0.0183
Cl 0.3425 0.4326 0.7009
Cl 0.3425 0.5674 0.2009
Cl 0.4098 0.3026 0.8877
Cl 0.4098 0.6974 0.3877
Cl 0.4126 0.1360 0.0825
Cl 0.4126 0.8640 0.5825
Cl 0.5000 0.0073 0.7500
Cl 0.5000 0.9927 0.2500
Cl 0.5874 0.1360 0.4175
Cl 0.5874 0.8640 0.9175
Cl 0.5902 0.3026 0.6123
Cl 0.5902 0.6974 0.1123
Cl 0.6575 0.4326 0.7991
Cl 0.6575 0.5674 0.2991
Cl 0.7114 0.3163 0.9817
Cl 0.7114 0.6837 0.4817
Cl 0.8469 0.1898 0.2176
Cl 0.8469 0.8102 0.7176
Cl 0.9023 0.1052 0.5727
Cl 0.9023 0.8948 0.0727
Cl 0.9524 0.3424 0.3963
Cl 0.9524 0.6576 0.8963
O 0.2028 0.0643 0.6456
O 0.2028 0.9357 0.1456
O 0.7972 0.0643 0.8544
O 0.7972 0.9357 0.3544

Main lines, low angle first (5° ≤ 2θ ≤ 70°):
| 2θ (°) | I (rel.) |
| --- | --- |
| 13.28 | 95 |
| 14.15 | 100 |
| 16.15 | 81 |
| 19.50 | 60 |
| 30.62 | 40 |
| 33.58 | 42 |
| 35.06 | 39 |
| 46.35 | 48 |